Structure and simulated PXRD pattern of K2MgMnH4I4O14 (DFT lattice parameters and positions (GGA+U); Cu Kα (weighted mean of Kα1 and Kα2)).

Crystal structure
```
data_K2MgMnH4I4O14
_cell_length_a 7.964
_cell_length_b 8.068
_cell_length_c 8.196
_cell_angle_alpha 90.76
_cell_angle_beta 113.49
_cell_angle_gamma 118.94
_space_group_name_H-M_alt 'P 1'
_space_group_IT_number 1
loop_
_space_group_symop_operation_xyz
'x,y,z'
loop_
_atom_site_label
_atom_site_fract_x
_atom_site_fract_y
_atom_site_fract_z
_atom_site_occupancy
K1 0.000 0.000 0.000 1
K2 0.487 0.492 0.012 1
Mg1 0.938 0.645 0.389 1
Mn1 0.463 0.961 0.570 1
H1 0.157 0.450 0.636 1
H2 0.241 0.725 0.721 1
H3 0.698 0.304 0.504 1
H4 0.878 0.248 0.604 1
I1 0.045 0.076 0.475 1
I2 0.067 0.550 0.091 1
I3 0.547 0.024 0.055 1
I4 0.548 0.555 0.565 1
O1 0.131 0.336 0.689 1
O2 0.212 0.710 0.591 1
O3 0.217 0.430 0.183 1
O4 0.231 0.792 0.252 1
O5 0.337 0.161 0.524 1
O6 0.351 0.757 0.965 1
O7 0.365 0.112 0.980 1
O8 0.644 0.814 0.569 1
O9 0.652 0.062 0.886 1
O10 0.696 0.511 0.459 1
O11 0.714 0.191 0.528 1
O12 0.718 0.591 0.807 1
O13 0.866 0.442 0.183 1
O14 0.890 0.840 0.272 1
```

Main lines, in order of rising 2θ (2θ from 10° to 90°):
Position (°2θ)  I (rel.)  h k l
15.62  839  -1 1 1
20.17  694  1 -1 1
21.94  707  1 1 -1
24.51  1000  0 0 2
26.12  769  0 2 0
26.67  914  2 -2 0
27.94  648  2 0 -2
28.90  469  2 0 0
31.53  391  -2 2 2
40.67  264  0 2 2